No. 1
Starting from a GGA-PBE-relaxed structure, the X-ray diffraction stick pattern of PmNi2H6 was calculated for copper Kα.
Peak positions follow from Bragg's law for the DFT cell and can differ from measured ones.

Atomic structure:
```
data_PmNi2H6
_chemical_formula_sum 'Pm1 Ni2 H6'
_cell_length_a 4.4277
_cell_length_b 4.4277
_cell_length_c 4.2086
_cell_angle_alpha 90.00
_cell_angle_beta 90.00
_cell_angle_gamma 120.00
_symmetry_space_group_name_H-M 'P 6/m m m'
_symmetry_Int_Tables_number 191
_symmetry_space_group_name_Hall '-P 6 2'
loop_
_atom_site_label
_atom_site_type_symbol
_atom_site_fract_x
_atom_site_fract_y
_atom_site_fract_z
_atom_site_occupancy
Pm1 Pm 0.0000 0.0000 0.0000 1
Ni1 Ni 0.3333 0.6667 0.5000 1
H1 H 0.0000 0.5000 0.2553 1
```

Peak list (6 most intense, 10° ≤ 2θ ≤ 90°, low angle first)
hkl 1 0 0, 23.2°, I = 14
hkl 1 0 1, 31.6°, I = 100
hkl 1 1 0, 40.8°, I = 41
hkl 2 0 1, 52.4°, I = 23
hkl 1 1 2, 60.7°, I = 25
hkl 2 1 1, 68.5°, I = 21

No. 2
Starting from a GGA-PBE-relaxed structure, the X-ray diffraction stick pattern of K2NaLiCl4 was calculated for copper Kα.
Peak positions follow from Bragg's law for the DFT cell and can differ from measured ones.

Atomic structure:
```
data_K2NaLiCl4
_chemical_formula_sum 'K8 Na4 Li4 Cl16'
_cell_length_a 11.8336
_cell_length_b 11.7939
_cell_length_c 8.3486
_cell_angle_alpha 90.00
_cell_angle_beta 134.79
_cell_angle_gamma 90.00
_symmetry_space_group_name_H-M 'C 1 2/c 1'
_symmetry_Int_Tables_number 15
loop_
_symmetry_equiv_pos_as_xyz
'x,y,z'
'-x,-y,-z'
'-x,y,-z+1/2'
'x,-y,z+1/2'
'x+1/2,y+1/2,z'
'-x+1/2,-y+1/2,-z'
'-x+1/2,y+1/2,-z+1/2'
'x+1/2,-y+1/2,z+1/2'
loop_
_atom_site_label
_atom_site_type_symbol
_atom_site_fract_x
_atom_site_fract_y
_atom_site_fract_z
_atom_site_occupancy
K1 K 0.0000 0.0000 0.0000 1
K2 K 0.2500 0.2500 0.0000 1
Na1 Na 0.2500 0.2500 0.5000 1
Li1 Li 0.0000 0.5000 0.0000 1
Cl1 Cl 0.9999 0.2676 0.0178 1
Cl2 Cl 0.2210 0.4915 0.4719 1
```

Peak list (6 most intense, 10° ≤ 2θ ≤ 90°, low angle first)
hkl 0 0 2, 30.2°, I = 100
hkl 0 4 0, 30.3°, I = 49
hkl 3 3 -2, 33.1°, I = 17
hkl 4 0 0, 43.1°, I = 15
hkl 4 0 -4, 43.3°, I = 77
hkl 4 4 -4, 53.8°, I = 15

No. 3
Starting from a GGA-PBE-relaxed structure, the X-ray diffraction stick pattern of Pm2Y6Ho2Tm was calculated for copper Kα.
Peak positions follow from Bragg's law for the DFT cell and can differ from measured ones.

Atomic structure:
```
data_Pm2Y6Ho2Tm
_chemical_formula_sum 'Pm4 Y12 Ho4 Tm2'
_cell_length_a 5.6599
_cell_length_b 12.0399
_cell_length_c 10.6061
_cell_angle_alpha 90.00
_cell_angle_beta 90.00
_cell_angle_gamma 90.00
_symmetry_space_group_name_H-M 'C m m m'
_symmetry_Int_Tables_number 65
_symmetry_space_group_name_Hall '-C 2 2'
loop_
_atom_site_label
_atom_site_type_symbol
_atom_site_fract_x
_atom_site_fract_y
_atom_site_fract_z
_atom_site_occupancy
Pm1 Pm 0.0000 0.1342 0.0000 1
Y1 Y 0.0000 0.0000 0.2969 1
Y2 Y 0.0000 0.3469 0.2102 1
Ho1 Ho 0.0000 0.2056 0.5000 1
Tm1 Tm 0.0000 0.5000 0.5000 1
```

Peak list (6 most intense, 10° ≤ 2θ ≤ 90°, low angle first)
hkl 1 1 3, 30.7°, I = 28
hkl 0 4 1, 30.9°, I = 23
hkl 2 0 0, 31.6°, I = 38
hkl 1 3 2, 32.1°, I = 100
hkl 0 0 4, 33.8°, I = 20
hkl 3 3 2, 56.6°, I = 26

No. 4
Starting from a GGA-PBE-relaxed structure, the X-ray diffraction stick pattern of KCaCuBr4 was calculated for copper Kα.
Peak positions follow from Bragg's law for the DFT cell and can differ from measured ones.

Atomic structure:
```
data_KCaCuBr4
_chemical_formula_sum 'K2 Ca2 Cu2 Br8'
_cell_length_a 6.8052
_cell_length_b 7.4300
_cell_length_c 9.0225
_cell_angle_alpha 90.00
_cell_angle_beta 108.81
_cell_angle_gamma 90.00
_symmetry_space_group_name_H-M 'P 1 21/m 1'
_symmetry_Int_Tables_number 11
loop_
_symmetry_equiv_pos_as_xyz
'x,y,z'
'-x,-y,-z'
'-x,y+1/2,-z'
'x,-y+1/2,z'
loop_
_atom_site_label
_atom_site_type_symbol
_atom_site_fract_x
_atom_site_fract_y
_atom_site_fract_z
_atom_site_occupancy
K1 K 0.2322 0.2500 0.0518 1
Ca1 Ca 0.2243 0.2500 0.5564 1
Cu1 Cu 0.2258 0.7500 0.3245 1
Br1 Br 0.0178 0.5058 0.7157 1
Br2 Br 0.4305 0.7500 0.1461 1
Br3 Br 0.4645 0.7500 0.5936 1
```

Peak list (6 most intense, 10° ≤ 2θ ≤ 90°, low angle first)
hkl 0 0 1, 10.4°, I = 37
hkl 1 2 0, 27.7°, I = 100
hkl 1 1 2, 31.0°, I = 54
hkl 2 1 -2, 31.3°, I = 50
hkl 0 2 2, 32.0°, I = 46
hkl 0 4 0, 49.0°, I = 43